(1)
The following is a computed X-ray powder pattern of LaOsRhCl2. It was derived from DFT lattice parameters and positions (PBE), using CuKα.
Kinematic intensities with the Lorentz-polarization factor, no thermal factor.

The 12 most intense peaks (2θ from 15° to 90°), in order of rising 2θ:
| h k l | 2θ/deg | I/Imax |
| --- | --- | --- |
| 1 0 0 | 18.80 | 447 |
| 1 0 1 | 26.12 | 783 |
| 1 1 0 | 26.70 | 1000 |
| 0 0 2 | 36.41 | 441 |
| 2 0 0 | 38.12 | 775 |
| 1 1 2 | 45.72 | 487 |
| 2 1 1 | 46.80 | 333 |
| 2 0 2 | 53.73 | 563 |
| 2 2 0 | 55.01 | 262 |
| 3 1 0 | 62.18 | 198 |
| 2 2 2 | 67.78 | 277 |
| 3 1 2 | 74.24 | 236 |

Cell and atoms:
abc: 4.721 4.721 4.936
angles: 90.00 90.00 90.00
Space group P4/mmm (No. 123)
Symmetry-distinct sites (fractional):
1 La 0.000 0.000 0.000
2 Os 0.500 0.500 0.500
3 Rh 0.500 0.500 0.000
4 Cl 0.000 0.500 0.500

(2)
The following is a computed X-ray powder pattern of La7P4Cl4. It was derived from DFT lattice parameters and positions (PBE), using CuKα.
Kinematic intensities with the Lorentz-polarization factor, no thermal factor.

The 12 most intense peaks (2θ from 15° to 90°), in order of rising 2θ:
| h k l | 2θ/deg | I/Imax |
| --- | --- | --- |
| 0 0 2 | 23.83 | 577 |
| 3 2 1 | 24.60 | 402 |
| 3 3 0 | 25.32 | 440 |
| 4 1 1 | 27.39 | 210 |
| 3 1 2 | 30.52 | 223 |
| 5 0 1 | 32.32 | 1000 |
| 3 3 2 | 35.05 | 217 |
| 6 0 0 | 36.11 | 676 |
| 7 0 1 | 44.18 | 176 |
| 7 3 0 | 46.37 | 214 |
| 5 0 3 | 47.55 | 326 |
| 7 4 1 | 50.85 | 262 |

Cell and atoms:
abc: 14.913 14.913 7.475
angles: 90.00 90.00 90.00
Space group I4/mmm (No. 139)
Symmetry-distinct sites (fractional):
1 La 0.000 0.000 0.247
2 La 0.000 0.283 0.000
3 La 0.000 0.376 0.500
4 La 0.208 0.208 0.500
5 P 0.151 0.349 0.250
6 Cl 0.000 0.159 0.500
7 Cl 0.112 0.112 0.000